Structure and simulated X-ray diffraction stick pattern of Sm7Zn2Sn2 (a structure optimized by DFT (GGA-PBE); CuKα).
Neutral-atom scattering factors, no anomalous dispersion.

Atomic structure:
a = 8.087 Å, b = 11.396 Å, c = 7.333 Å
α = 90.00°, β = 90.00°, γ = 90.00°
Space group Cmmm (No. 65)
Asymmetric unit:
1 Sm 0.000 0.000 0.000 [2 per cell]
2 Sm 0.000 0.500 0.240 [4 per cell]
3 Sm 0.250 0.250 0.277 [8 per cell]
4 Zn 0.000 0.285 0.000 [4 per cell]
5 Sn 0.179 0.000 0.500 [4 per cell]

Principal peaks in the range 2θ = 15–90°, in order of rising 2θ:
Position (°2θ)	intensity	hkl
25.15	435	2 0 1
27.04	659	2 2 0
27.84	565	1 1 2
28.96	264	0 2 2
31.40	733	0 4 0
35.80	441	1 3 2
36.65	1000	2 2 2
40.12	187	0 2 3
40.65	203	2 4 1
44.83	186	4 0 0
59.38	204	2 6 2
60.01	186	0 4 4